# Rb3NaV2O6
Computed powder X-ray diffraction pattern, Cu Kα. Input: DFT lattice parameters and positions (PBE+U).
Lines closer than 0.1° are merged.

Largest 6 diffraction maxima, low angle first, 5 to 70 degrees two-theta:
20.1°, d 4.426, I 31.1; 28.2°, d 3.167, I 100.0; 28.9°, d 3.093, I 84.5; 34.8°, d 2.576, I 26.1; 40.8°, d 2.213, I 53.1; 50.3°, d 1.814, I 30.3

Crystal structure
```
data_Rb3NaV2O6
_chemical_formula_sum 'Rb3 Na1 V2 O6'
_symmetry_space_group_name_H-M 'P 1'
_symmetry_Int_Tables_number 1
_symmetry_space_group_name_Hall 'P 1'
_cell_length_a 6.335
_cell_length_b 6.335
_cell_length_c 7.489
_cell_angle_alpha 90.00
_cell_angle_beta 90.00
_cell_angle_gamma 120.00
loop_
_atom_site_label
_atom_site_type_symbol
_atom_site_fract_x
_atom_site_fract_y
_atom_site_fract_z
Rb1 Rb 0.000 0.000 0.000
Rb2 Rb 0.333 0.667 0.687
Rb3 Rb 0.667 0.333 0.313
Na1 Na 0.000 0.000 0.500
V1 V 0.333 0.667 0.243
V2 V 0.667 0.333 0.757
O1 O 0.179 0.357 0.285
O2 O 0.179 0.821 0.285
O3 O 0.357 0.179 0.715
O4 O 0.643 0.821 0.285
O5 O 0.821 0.179 0.715
O6 O 0.821 0.643 0.715
```